# 1
Simulated PXRD pattern of Cd7Hg6 for CuKα, from the GGA-PBE geometry in Alexandria.
Intensities are scaled so that the largest is 100.

```
data_Cd7Hg6
_cell_length_a 5.7650
_cell_length_b 5.7650
_cell_length_c 34.2525
_cell_angle_alpha 90.00
_cell_angle_beta 90.00
_cell_angle_gamma 120.00
_symmetry_space_group_name_H-M 'R -3 m'
_symmetry_Int_Tables_number 166
_symmetry_space_group_name_Hall '-R 3 2"'
loop_
_atom_site_label
_atom_site_type_symbol
_atom_site_fract_x
_atom_site_fract_y
_atom_site_fract_z
Cd1 Cd 0.0000 0.0000 0.0000
Cd2 Cd 0.0016 0.5008 0.4124
Hg1 Hg 0.0000 0.0000 0.1656
Hg2 Hg 0.0000 0.0000 0.3482
Hg3 Hg 0.0000 0.0000 0.4560
```

Main lines, in order of rising 2θ (2θ = 15–90°):
2θ 31.03, 2.882 Å, intensity 73, (1 1 0); 2θ 31.68, 2.824 Å, intensity 64, (1 0 10); 2θ 33.93, 2.642 Å, intensity 60, (0 1 11); 2θ 34.87, 2.573 Å, intensity 100, (1 1 6); 2θ 36.08, 2.490 Å, intensity 33, (0 2 1); 2θ 64.67, 1.441 Å, intensity 30, (2 2 0)

=====

# 2
Simulated PXRD pattern of CsPPbO4 for CuKα, from the GGA-PBE geometry in Alexandria.
Intensities are scaled so that the largest is 100.

```
data_CsPPbO4
_cell_length_a 9.8217
_cell_length_b 5.7619
_cell_length_c 9.6076
_cell_angle_alpha 90.00
_cell_angle_beta 90.00
_cell_angle_gamma 90.00
_symmetry_space_group_name_H-M 'P n m a'
_symmetry_Int_Tables_number 62
loop_
_symmetry_equiv_pos_as_xyz
'x,y,z'
'-x,-y,-z'
'-x+1/2,-y,z+1/2'
'x+1/2,y,-z+1/2'
'x+1/2,-y+1/2,-z+1/2'
'-x+1/2,y+1/2,z+1/2'
'-x,y+1/2,-z'
'x,-y+1/2,z'
loop_
_atom_site_label
_atom_site_type_symbol
_atom_site_fract_x
_atom_site_fract_y
_atom_site_fract_z
Cs1 Cs 0.0228 0.2500 0.1599
P1 P 0.1719 0.7500 0.4219
Pb1 Pb 0.1573 0.2500 0.5904
O1 O 0.0573 0.7500 0.5368
O2 O 0.1075 0.7500 0.2750
O3 O 0.2374 0.0287 0.9446
```

Main lines, in order of rising 2θ (2θ = 15–90°):
2θ 23.81, 3.738 Å, intensity 33, (2 1 0); 2θ 25.57, 3.483 Å, intensity 50, (2 1 1); 2θ 25.79, 3.454 Å, intensity 100, (1 1 2); 2θ 28.81, 3.099 Å, intensity 44, (3 0 1); 2θ 31.04, 2.881 Å, intensity 41, (0 2 0); 2θ 42.86, 2.110 Å, intensity 34, (3 2 1)

=====

# 3
Simulated PXRD pattern of KSb4Pb4 for CuKα, from the GGA-PBE geometry in Alexandria.
Intensities are scaled so that the largest is 100.

```
data_KSb4Pb4
_cell_length_a 10.6519
_cell_length_b 10.6519
_cell_length_c 6.2029
_cell_angle_alpha 90.00
_cell_angle_beta 90.00
_cell_angle_gamma 90.00
_symmetry_space_group_name_H-M 'P 42/n'
_symmetry_Int_Tables_number 86
loop_
_symmetry_equiv_pos_as_xyz
'x,y,z'
'-x,-y,-z'
'-y,x+1/2,z+1/2'
'y,-x+1/2,-z+1/2'
'-x+1/2,-y+1/2,z'
'x+1/2,y+1/2,-z'
'y+1/2,-x,z+1/2'
'-y+1/2,x,-z+1/2'
loop_
_atom_site_label
_atom_site_type_symbol
_atom_site_fract_x
_atom_site_fract_y
_atom_site_fract_z
K1 K 0.2500 0.2500 0.2500
Sb1 Sb 0.0662 0.5933 0.7131
Pb1 Pb 0.1151 0.6390 0.2121
```

Main lines, in order of rising 2θ (2θ = 15–90°):
2θ 26.46, 3.368 Å, intensity 77, (1 3 0); 2θ 28.79, 3.101 Å, intensity 47, (0 0 2); 2θ 33.62, 2.666 Å, intensity 100, (4 0 0); 2θ 37.73, 2.384 Å, intensity 30, (4 1 1); 2θ 39.50, 2.282 Å, intensity 43, (1 3 2); 2θ 44.86, 2.020 Å, intensity 27, (4 0 2)

=====

# 4
Simulated PXRD pattern of Ta5Ga2B2 for CuKα, from the GGA-PBE geometry in Alexandria.
Intensities are scaled so that the largest is 100.

```
data_Ta5Ga2B2
_cell_length_a 13.3200
_cell_length_b 6.4142
_cell_length_c 6.2849
_cell_angle_alpha 90.00
_cell_angle_beta 90.00
_cell_angle_gamma 90.00
_symmetry_space_group_name_H-M 'C m c e'
_symmetry_Int_Tables_number 64
_symmetry_space_group_name_Hall '-C 2ac 2'
loop_
_atom_site_label
_atom_site_type_symbol
_atom_site_fract_x
_atom_site_fract_y
_atom_site_fract_z
Ta1 Ta 0.0000 0.0000 0.0000
Ta2 Ta 0.1150 0.1751 0.3227
Ga1 Ga 0.2240 0.0000 0.0000
B1 B 0.0000 0.1065 0.6079
```

Main lines, in order of rising 2θ (2θ = 15–90°):
2θ 31.31, 2.857 Å, intensity 56, (0 2 1); 2θ 32.43, 2.761 Å, intensity 54, (1 1 2); 2θ 38.99, 2.310 Å, intensity 61, (4 2 0); 2θ 39.39, 2.288 Å, intensity 100, (4 0 2); 2θ 40.18, 2.245 Å, intensity 38, (0 2 2); 2θ 41.66, 2.168 Å, intensity 53, (4 2 1)

=====

# 5
Simulated PXRD pattern of Pu2Co12B7 for CuKα, from the GGA-PBE geometry in Alexandria.
Intensities are scaled so that the largest is 100.

```
data_Pu2Co12B7
_cell_length_a 8.4851
_cell_length_b 8.4851
_cell_length_c 3.3608
_cell_angle_alpha 90.00
_cell_angle_beta 90.00
_cell_angle_gamma 120.00
_symmetry_space_group_name_H-M 'P -6'
_symmetry_Int_Tables_number 174
loop_
_symmetry_equiv_pos_as_xyz
'x,y,z'
'-x+y,-x,-z'
'-y,x-y,z'
'x,y,-z'
'-x+y,-x,z'
'-y,x-y,-z'
loop_
_atom_site_label
_atom_site_type_symbol
_atom_site_fract_x
_atom_site_fract_y
_atom_site_fract_z
Pu1 Pu 0.0000 0.0000 0.0000
Pu2 Pu 0.3333 0.6667 0.5000
Co1 Co 0.0515 0.2821 0.5000
Co2 Co 0.1006 0.7038 0.0000
Co3 Co 0.3954 0.1823 0.0000
Co4 Co 0.5487 0.4321 0.5000
B1 B 0.0622 0.4353 0.0000
B2 B 0.2805 0.2353 0.5000
B3 B 0.6667 0.3333 0.0000
```

Main lines, in order of rising 2θ (2θ = 15–90°):
2θ 20.94, 4.243 Å, intensity 23, (1 1 0); 2θ 29.22, 3.056 Å, intensity 33, (1 0 1); 2θ 32.23, 2.777 Å, intensity 26, (2 1 0); 2θ 42.21, 2.141 Å, intensity 100, (2 1 1); 2θ 42.62, 2.121 Å, intensity 13, (2 2 0); 2θ 57.47, 1.604 Å, intensity 14, (1 4 0)

=====

# 6
Simulated PXRD pattern of Pr3Th2Sn3 for CuKα, from the GGA-PBE geometry in Alexandria.
Intensities are scaled so that the largest is 100.

```
data_Pr3Th2Sn3
_cell_length_a 9.4860
_cell_length_b 9.4860
_cell_length_c 6.5896
_cell_angle_alpha 90.00
_cell_angle_beta 90.00
_cell_angle_gamma 120.00
_symmetry_space_group_name_H-M 'P 63/m c m'
_symmetry_Int_Tables_number 193
_symmetry_space_group_name_Hall '-P 6c 2'
loop_
_atom_site_label
_atom_site_type_symbol
_atom_site_fract_x
_atom_site_fract_y
_atom_site_fract_z
Pr1 Pr 0.0000 0.2539 0.2500
Th1 Th 0.3333 0.6667 0.0000
Sn1 Sn 0.0000 0.3868 0.7500
```

Main lines, in order of rising 2θ (2θ = 15–90°):
2θ 28.75, 3.105 Å, intensity 33, (2 1 0); 2θ 31.86, 2.809 Å, intensity 68, (2 1 1); 2θ 32.70, 2.738 Å, intensity 66, (3 0 0); 2θ 33.11, 2.706 Å, intensity 100, (1 1 2); 2θ 47.22, 1.925 Å, intensity 29, (2 2 2); 2θ 50.93, 1.793 Å, intensity 30, (4 1 0)

=====

# 7
Simulated PXRD pattern of Tl2BiTe2 for CuKα, from the GGA-PBE geometry in Alexandria.
Intensities are scaled so that the largest is 100.

```
data_Tl2BiTe2
_cell_length_a 11.0606
_cell_length_b 8.9946
_cell_length_c 7.9394
_cell_angle_alpha 90.00
_cell_angle_beta 92.09
_cell_angle_gamma 90.00
_symmetry_space_group_name_H-M 'P 1 21/c 1'
_symmetry_Int_Tables_number 14
loop_
_symmetry_equiv_pos_as_xyz
'x,y,z'
'-x,-y,-z'
'-x,y+1/2,-z+1/2'
'x,-y+1/2,z+1/2'
loop_
_atom_site_label
_atom_site_type_symbol
_atom_site_fract_x
_atom_site_fract_y
_atom_site_fract_z
Tl1 Tl 0.0578 0.2270 0.0137
Tl2 Tl 0.3276 0.7174 0.5064
Bi1 Bi 0.3350 0.1395 0.3863
Te1 Te 0.1279 0.5684 0.7677
Te2 Te 0.4312 0.0540 0.7325
```

Main lines, in order of rising 2θ (2θ = 15–90°):
2θ 24.14, 3.687 Å, intensity 58, (3 0 0); 2θ 27.70, 3.221 Å, intensity 53, (2 2 -1); 2θ 29.90, 2.988 Å, intensity 73, (2 1 2); 2θ 30.04, 2.975 Å, intensity 100, (0 2 2); 2θ 31.39, 2.850 Å, intensity 47, (3 2 0); 2θ 34.02, 2.636 Å, intensity 74, (2 3 0)

=====

# 8
Simulated PXRD pattern of PmGa4Pd2 for CuKα, from the GGA-PBE geometry in Alexandria.
Intensities are scaled so that the largest is 100.

```
data_PmGa4Pd2
_cell_length_a 17.5833
_cell_length_b 4.3851
_cell_length_c 6.5765
_cell_angle_alpha 90.00
_cell_angle_beta 90.00
_cell_angle_gamma 90.00
_symmetry_space_group_name_H-M 'P n m a'
_symmetry_Int_Tables_number 62
loop_
_symmetry_equiv_pos_as_xyz
'x,y,z'
'-x,-y,-z'
'-x+1/2,-y,z+1/2'
'x+1/2,y,-z+1/2'
'x+1/2,-y+1/2,-z+1/2'
'-x+1/2,y+1/2,z+1/2'
'-x,y+1/2,-z'
'x,-y+1/2,z'
loop_
_atom_site_label
_atom_site_type_symbol
_atom_site_fract_x
_atom_site_fract_y
_atom_site_fract_z
Pm1 Pm 0.1396 0.2500 0.0082
Ga1 Ga 0.0371 0.7500 0.8330
Ga2 Ga 0.0736 0.2500 0.4863
Ga3 Ga 0.1823 0.7500 0.3183
Ga4 Ga 0.1897 0.7500 0.7208
Pd1 Pd 0.0345 0.7500 0.2510
Pd2 Pd 0.2181 0.2500 0.5244
```

Main lines, in order of rising 2θ (2θ = 15–90°):
2θ 35.45, 2.532 Å, intensity 62, (5 1 1); 2θ 35.62, 2.520 Å, intensity 100, (2 1 2); 2θ 36.89, 2.437 Å, intensity 22, (6 1 0); 2θ 38.36, 2.347 Å, intensity 30, (7 0 1); 2θ 41.18, 2.192 Å, intensity 53, (0 2 0); 2θ 71.46, 1.320 Å, intensity 20, (2 3 2)

=====

# 9
Simulated PXRD pattern of Zn2MoI8 for CuKα, from the GGA-PBE geometry in Alexandria.
Intensities are scaled so that the largest is 100.

```
data_Zn2MoI8
_cell_length_a 15.2170
_cell_length_b 8.8942
_cell_length_c 6.8535
_cell_angle_alpha 90.00
_cell_angle_beta 91.64
_cell_angle_gamma 90.00
_symmetry_space_group_name_H-M 'C 1 2/m 1'
_symmetry_Int_Tables_number 12
loop_
_symmetry_equiv_pos_as_xyz
'x,y,z'
'-x,-y,-z'
'-x,y,-z'
'x,-y,z'
'x+1/2,y+1/2,z'
'-x+1/2,-y+1/2,-z'
'-x+1/2,y+1/2,-z'
'x+1/2,-y+1/2,z'
loop_
_atom_site_label
_atom_site_type_symbol
_atom_site_fract_x
_atom_site_fract_y
_atom_site_fract_z
Zn1 Zn 0.1662 0.0000 0.1043
Mo1 Mo 0.0000 0.0000 0.5000
I1 I 0.0683 0.2204 0.2589
I2 I 0.1593 0.0000 0.7133
I3 I 0.1720 0.5000 0.7985
```

Main lines, in order of rising 2θ (2θ = 15–90°):
2θ 23.17, 3.839 Å, intensity 40, (2 2 0); 2θ 26.01, 3.425 Å, intensity 34, (0 0 2); 2θ 26.46, 3.369 Å, intensity 100, (2 2 -1); 2θ 27.14, 3.285 Å, intensity 46, (4 0 1); 2θ 40.57, 2.224 Å, intensity 36, (0 4 0); 2θ 40.98, 2.202 Å, intensity 40, (6 2 0)

=====

# 10
Simulated PXRD pattern of Pm3Rh8Pb for CuKα, from the GGA-PBE geometry in Alexandria.
Intensities are scaled so that the largest is 100.

```
data_Pm3Rh8Pb
_cell_length_a 5.3750
_cell_length_b 5.3750
_cell_length_c 26.5371
_cell_angle_alpha 90.00
_cell_angle_beta 90.00
_cell_angle_gamma 120.00
_symmetry_space_group_name_H-M 'R 3 m'
_symmetry_Int_Tables_number 160
_symmetry_space_group_name_Hall 'R 3 -2"'
loop_
_atom_site_label
_atom_site_type_symbol
_atom_site_fract_x
_atom_site_fract_y
_atom_site_fract_z
Pm1 Pm 0.0000 0.0000 0.0000
Pm2 Pm 0.0000 0.0000 0.1276
Pm3 Pm 0.0000 0.0000 0.6206
Rh1 Rh 0.0000 0.0000 0.3116
Rh2 Rh 0.0000 0.0000 0.8120
Rh3 Rh 0.0008 0.5004 0.0615
Rh4 Rh 0.0011 0.5005 0.5620
Pb1 Pb 0.0000 0.0000 0.4980
```

Main lines, in order of rising 2θ (2θ = 15–90°):
2θ 33.16, 2.701 Å, intensity 28, (0 1 8); 2θ 33.34, 2.688 Å, intensity 28, (1 1 0); 2θ 39.07, 2.305 Å, intensity 33, (1 0 10); 2θ 39.25, 2.295 Å, intensity 100, (1 1 6); 2θ 41.10, 2.196 Å, intensity 27, (0 2 4); 2θ 70.02, 1.344 Å, intensity 17, (2 2 0)

=====

# 11
Simulated PXRD pattern of Nd4NiSb2 for CuKα, from the GGA-PBE geometry in Alexandria.
Intensities are scaled so that the largest is 100.

```
data_Nd4NiSb2
_cell_length_a 7.0412
_cell_length_b 6.5143
_cell_length_c 9.4106
_cell_angle_alpha 90.00
_cell_angle_beta 108.57
_cell_angle_gamma 90.00
_symmetry_space_group_name_H-M 'P 1 21/m 1'
_symmetry_Int_Tables_number 11
loop_
_symmetry_equiv_pos_as_xyz
'x,y,z'
'-x,-y,-z'
'-x,y+1/2,-z'
'x,-y+1/2,z'
loop_
_atom_site_label
_atom_site_type_symbol
_atom_site_fract_x
_atom_site_fract_y
_atom_site_fract_z
Nd1 Nd 0.0151 0.0049 0.2745
Nd2 Nd 0.3841 0.7500 0.0752
Nd3 Nd 0.4419 0.7500 0.6329
Ni1 Ni 0.3406 0.7500 0.3358
Sb1 Sb 0.2161 0.2500 0.0419
Sb2 Sb 0.2739 0.2500 0.5806
```

Main lines, in order of rising 2θ (2θ = 15–90°):
2θ 27.36, 3.259 Å, intensity 80, (1 0 2); 2θ 27.82, 3.206 Å, intensity 73, (2 0 -2); 2θ 30.07, 2.972 Å, intensity 62, (0 0 3); 2θ 30.54, 2.927 Å, intensity 100, (1 2 0); 2θ 34.08, 2.630 Å, intensity 56, (0 2 2); 2θ 34.21, 2.621 Å, intensity 60, (1 2 -2)